1.
Calculated powder XRD pattern
Compound: Co2NiO4
Radiation: a wavelength of 1.5418 Å
Structure: a structure optimized by DFT (PBE+U)
Peak positions follow from Bragg's law for the DFT cell and can differ from measured ones.

Main lines, in order of rising 2θ (2θ = 15–90°):
d = 2.481 Å, 36.20 deg, I = 54
d = 2.453 Å, 36.63 deg, I = 100
d = 2.440 Å, 36.84 deg, I = 50
d = 2.037 Å, 44.48 deg, I = 35
d = 1.452 Å, 64.16 deg, I = 44
d = 1.429 Å, 65.27 deg, I = 42

Lattice parameters (Å, degrees): 5.7179 5.7179 14.3347 90.00 90.00 120.00
Space group R-3m (No. 166, hexagonal axes)
Symmetry-distinct sites (fractional):
Co  0.0000  0.0000  0.0000 (multiplicity 3)
Co  0.0000  0.5000  0.5000 (multiplicity 9)
Ni  0.0000  0.0000  0.3748 (multiplicity 6)
O  0.0000  0.0000  0.2333 (multiplicity 6)
O  0.0375  0.5187  0.7541 (multiplicity 18)

2.
Calculated powder XRD pattern
Compound: Co4NiO8
Radiation: a wavelength of 1.5418 Å
Structure: a structure optimized by DFT (PBE+U)
Peak positions follow from Bragg's law for the DFT cell and can differ from measured ones.

Main lines, in order of rising 2θ (2θ = 15–90°):
d = 4.916 Å, 18.05 deg, I = 100
d = 4.650 Å, 19.09 deg, I = 14
d = 2.458 Å, 36.56 deg, I = 13
d = 2.064 Å, 43.87 deg, I = 31
d = 2.021 Å, 44.85 deg, I = 30
d = 2.016 Å, 44.97 deg, I = 30

Lattice parameters (Å, degrees): 5.6208 5.6288 5.8084 90.12 117.46 119.81
Space group P-1 (No. 2)
Symmetry-distinct sites (fractional):
Co  0.0000  0.0000  0.0000 (multiplicity 1)
Co  0.0000  0.0000  0.5000 (multiplicity 1)
Co  0.0000  0.5000  0.0000 (multiplicity 1)
Co  0.5000  0.0000  0.0000 (multiplicity 1)
Ni  0.5000  0.5000  0.0000 (multiplicity 1)
O  0.0446  0.7765  0.7958 (multiplicity 2)
O  0.0459  0.2663  0.7964 (multiplicity 2)
O  0.4607  0.2297  0.1933 (multiplicity 2)
O  0.4731  0.7348  0.2034 (multiplicity 2)

3.
Calculated powder XRD pattern
Compound: CoNi2O4
Radiation: a wavelength of 1.5418 Å
Structure: a structure optimized by DFT (PBE+U)
Peak positions follow from Bragg's law for the DFT cell and can differ from measured ones.

Main lines, in order of rising 2θ (2θ = 15–90°):
d = 4.772 Å, 18.59 deg, I = 11
d = 2.922 Å, 30.59 deg, I = 27
d = 2.492 Å, 36.04 deg, I = 100
d = 2.066 Å, 43.81 deg, I = 20
d = 1.591 Å, 57.98 deg, I = 35
d = 1.461 Å, 63.69 deg, I = 44

Lattice parameters (Å, degrees): 8.2648 8.2648 8.2648 90.00 90.00 90.00
Space group Fd-3m (No. 227, origin choice 2)
Symmetry-distinct sites (fractional):
Co  0.1250  0.1250  0.1250 (multiplicity 8)
Ni  0.0000  0.0000  0.5000 (multiplicity 16)
O  0.0087  0.0087  0.7413 (multiplicity 32)

4.
Calculated powder XRD pattern
Compound: CoNiP4O12
Radiation: a wavelength of 1.5418 Å
Structure: a structure optimized by DFT (PBE+U)
Peak positions follow from Bragg's law for the DFT cell and can differ from measured ones.

Main lines, in order of rising 2θ (2θ = 15–90°):
d = 4.280 Å, 20.75 deg, I = 37
d = 3.407 Å, 26.16 deg, I = 32
d = 3.213 Å, 27.77 deg, I = 30
d = 3.027 Å, 29.51 deg, I = 100
d = 2.888 Å, 30.97 deg, I = 25
d = 2.609 Å, 34.37 deg, I = 26

Lattice parameters (Å, degrees): 11.8840 8.3695 9.9828 90.00 118.56 90.00
Space group C2/c (No. 15)
Symmetry-distinct sites (fractional):
Co  0.0000  0.0544  0.2500 (multiplicity 4)
Ni  0.2500  0.2500  0.5000 (multiplicity 4)
P  0.0088  0.2626  0.9763 (multiplicity 8)
P  0.1958  0.4929  0.1977 (multiplicity 8)
O  0.0339  0.1209  0.9064 (multiplicity 8)
O  0.0504  0.2423  0.4184 (multiplicity 8)
O  0.0770  0.3886  0.6558 (multiplicity 8)
O  0.1415  0.3585  0.0658 (multiplicity 8)
O  0.2031  0.0830  0.3243 (multiplicity 8)
O  0.2331  0.4244  0.3498 (multiplicity 8)

5.
Calculated powder XRD pattern
Compound: CoNi2P2O8
Radiation: a wavelength of 1.5418 Å
Structure: a structure optimized by DFT (PBE+U)
Peak positions follow from Bragg's law for the DFT cell and can differ from measured ones.

Main lines, in order of rising 2θ (2θ = 15–90°):
d = 3.868 Å, 22.99 deg, I = 42
d = 3.487 Å, 25.54 deg, I = 100
d = 2.783 Å, 32.16 deg, I = 46
d = 2.531 Å, 35.47 deg, I = 70
d = 2.456 Å, 36.58 deg, I = 32
d = 1.744 Å, 52.47 deg, I = 31

Lattice parameters (Å, degrees): 4.7597 5.9503 10.2932 89.28 89.90 89.95
Space group P1 (No. 1)
Symmetry-distinct sites (fractional):
Co  0.0000  0.0000  0.0000 (multiplicity 1)
Co  0.4990  0.5206  0.0584 (multiplicity 1)
Ni  0.0121  0.2609  0.2797 (multiplicity 1)
Ni  0.0238  0.5201  0.5544 (multiplicity 1)
Ni  0.5114  0.2622  0.7781 (multiplicity 1)
Ni  0.5235  0.0027  0.5035 (multiplicity 1)
P  0.0877  0.0161  0.6812 (multiplicity 1)
P  0.4378  0.0171  0.1840 (multiplicity 1)
P  0.5880  0.5069  0.3769 (multiplicity 1)
P  0.9363  0.5056  0.8729 (multiplicity 1)
O  0.2037  0.0198  0.8223 (multiplicity 1)
O  0.2059  0.8175  0.6024 (multiplicity 1)
O  0.2455  0.2282  0.6158 (multiplicity 1)
O  0.2582  0.4900  0.8802 (multiplicity 1)
O  0.2653  0.4905  0.3824 (multiplicity 1)
O  0.2833  0.2291  0.1176 (multiplicity 1)
O  0.3185  0.8191  0.1054 (multiplicity 1)
O  0.3216  0.0202  0.3254 (multiplicity 1)
O  0.7043  0.5040  0.2358 (multiplicity 1)
O  0.7054  0.7051  0.4559 (multiplicity 1)
O  0.7452  0.2943  0.4419 (multiplicity 1)
O  0.7602  0.0326  0.1775 (multiplicity 1)
O  0.7652  0.0325  0.6755 (multiplicity 1)
O  0.7801  0.2942  0.9391 (multiplicity 1)
O  0.8167  0.7040  0.9512 (multiplicity 1)
O  0.8213  0.5025  0.7316 (multiplicity 1)

6.
Calculated powder XRD pattern
Compound: Co2Ni3SbP6O24
Radiation: a wavelength of 1.5418 Å
Structure: a structure optimized by DFT (PBE+U)
Peak positions follow from Bragg's law for the DFT cell and can differ from measured ones.

Main lines, in order of rising 2θ (2θ = 15–90°):
d = 4.333 Å, 20.50 deg, I = 100
d = 3.659 Å, 24.32 deg, I = 72
d = 2.683 Å, 33.39 deg, I = 62
d = 2.501 Å, 35.90 deg, I = 43
d = 1.902 Å, 47.83 deg, I = 30
d = 1.638 Å, 56.17 deg, I = 25

Lattice parameters (Å, degrees): 8.6651 8.6651 20.5072 90.00 90.00 120.00
Space group R3 (No. 146, hexagonal axes)
Symmetry-distinct sites (fractional):
Co  0.0000  0.0000  0.0000 (multiplicity 3)
Co  0.0000  0.0000  0.4900 (multiplicity 3)
Ni  0.0000  0.0000  0.1355 (multiplicity 3)
Ni  0.0000  0.0000  0.3472 (multiplicity 3)
Ni  0.0000  0.0000  0.6317 (multiplicity 3)
Sb  0.0000  0.0000  0.8485 (multiplicity 3)
P  0.0063  0.2973  0.2396 (multiplicity 9)
P  0.0380  0.6699  0.4053 (multiplicity 9)
O  0.0052  0.2063  0.3019 (multiplicity 9)
O  0.0060  0.8037  0.8034 (multiplicity 9)
O  0.0114  0.1766  0.9159 (multiplicity 9)
O  0.0135  0.8334  0.4189 (multiplicity 9)
O  0.1332  0.4620  0.8440 (multiplicity 9)
O  0.1401  0.6764  0.3460 (multiplicity 9)
O  0.1651  0.6795  0.7311 (multiplicity 9)
O  0.1663  0.4902  0.2287 (multiplicity 9)